Diffraction record for KBaV2CuClO7. The powder diffraction line list is simulated, not measured: it uses a structure optimized by DFT (PBE+U) and Cu Kα (weighted mean of Kα1 and Kα2).

```
data_KBaV2CuClO7
_chemical_formula_sum 'K4 Ba4 V8 Cu4 Cl4 O28'
_symmetry_space_group_name_H-M 'C m m 2'
_symmetry_Int_Tables_number 35
_cell_length_a 12.6021
_cell_length_b 12.7830
_cell_length_c 5.6743
_cell_angle_alpha 90.00
_cell_angle_beta 90.00
_cell_angle_gamma 90.00
loop_
_symmetry_equiv_pos_as_xyz
'x,y,z'
'-x,-y,z'
'-x,y,z'
'x,-y,z'
'x+1/2,y+1/2,z'
'-x+1/2,-y+1/2,z'
'-x+1/2,y+1/2,z'
'x+1/2,-y+1/2,z'
loop_
_atom_site_label
_atom_site_type_symbol
_atom_site_fract_x
_atom_site_fract_y
_atom_site_fract_z
K1 K 0.1742 0.0000 0.0000
Ba1 Ba 0.0000 0.3232 0.0032
V1 V 0.0000 0.1342 0.4643
V2 V 0.1332 0.5000 0.4672
Cu1 Cu 0.2500 0.2500 0.3912
Cl1 Cl 0.2500 0.2500 0.8538
O1 O 0.0000 0.0000 0.3536
O2 O 0.0000 0.1389 0.7619
O3 O 0.0000 0.5000 0.3271
O4 O 0.1066 0.1987 0.3396
O5 O 0.1196 0.5000 0.7653
O6 O 0.1952 0.3914 0.3534
```

Top 10 peaks for 2θ = 15–90°, by angle:
| 2theta | Rel. int. |
| --- | --- |
| 21.07 | 172 |
| 25.30 | 376 |
| 27.11 | 1000 |
| 27.32 | 642 |
| 28.33 | 205 |
| 31.39 | 239 |
| 31.53 | 301 |
| 31.66 | 344 |
| 37.51 | 185 |
| 44.91 | 156 |